Entry 1:
# Cs6TlCl8
Computed powder XRD pattern, Cu Kα. Input: a DFT-relaxed cell (GGA-PBE, Alexandria).

Structure:
```
Cs6TlCl8
1.0
9.926 0.000 0.000
-4.963 8.596 0.000
0.000 0.000 7.547
Cs Tl Cl
6 1 8
direct
0.000 0.382 0.225
0.000 0.618 0.775
0.382 0.000 0.225
0.382 0.382 0.775
0.618 0.000 0.775
0.618 0.618 0.225
0.000 0.000 0.500
0.000 0.260 0.692
0.000 0.740 0.308
0.260 0.000 0.692
0.260 0.260 0.308
0.333 0.667 0.000
0.667 0.333 0.000
0.740 0.000 0.308
0.740 0.740 0.692
```

The 8 most intense peaks (2θ from 10° to 90°), sorted by position:
two_theta, d_spacing, I/Imax
15.62, 5.671, 68
20.66, 4.298, 34
21.43, 4.147, 94
23.58, 3.773, 23
29.74, 3.004, 100
29.94, 2.984, 78
31.21, 2.865, 73
39.64, 2.273, 47

Entry 2:
# Cs2TlCl5
Computed powder XRD pattern, Cu Kα. Input: a DFT-relaxed cell (GGA-PBE, Alexandria).

Structure:
```
Cs2TlCl5
1.0
9.667 0.000 0.000
0.000 7.631 0.000
0.000 0.000 15.274
Cs Tl Cl
8 4 20
direct
0.034 0.250 0.202
0.177 0.750 0.420
0.323 0.250 0.920
0.466 0.750 0.702
0.534 0.250 0.298
0.677 0.750 0.080
0.823 0.250 0.580
0.966 0.750 0.798
0.187 0.750 0.068
0.313 0.250 0.568
0.687 0.750 0.432
0.813 0.250 0.932
0.000 0.000 0.000
0.000 0.500 0.000
0.028 0.750 0.201
0.160 0.505 0.621
0.160 0.995 0.621
0.210 0.250 0.412
0.290 0.750 0.912
0.340 0.005 0.121
0.340 0.495 0.121
0.472 0.250 0.701
0.500 0.000 0.500
0.500 0.500 0.500
0.528 0.750 0.299
0.660 0.505 0.879
0.660 0.995 0.879
0.710 0.250 0.088
0.790 0.750 0.588
0.840 0.005 0.379
0.840 0.495 0.379
0.972 0.250 0.799
```

The 8 most intense peaks (2θ from 10° to 90°), sorted by position:
two_theta, d_spacing, I/Imax
20.98, 4.235, 100
21.76, 4.084, 74
22.54, 3.945, 36
23.31, 3.816, 63
30.70, 2.912, 45
32.10, 2.788, 60
34.75, 2.582, 48
48.01, 1.895, 48

Entry 3:
# Cs2TlCl5
Computed powder XRD pattern, Cu Kα. Input: a DFT-relaxed cell (GGA-PBE, Alexandria).

Structure:
```
Cs2TlCl5
1.0
7.972 0.000 0.000
0.000 7.972 0.000
0.000 0.000 9.850
Cs Tl Cl
4 2 10
direct
0.000 0.500 0.000
0.000 0.500 0.500
0.500 0.000 0.000
0.500 0.000 0.500
0.000 0.000 0.209
0.500 0.500 0.709
0.000 0.000 0.956
0.224 0.224 0.262
0.224 0.776 0.262
0.276 0.276 0.762
0.276 0.724 0.762
0.500 0.500 0.456
0.724 0.276 0.762
0.724 0.724 0.762
0.776 0.224 0.262
0.776 0.776 0.262
```

The 8 most intense peaks (2θ from 10° to 90°), sorted by position:
two_theta, d_spacing, I/Imax
14.29, 6.197, 96
22.30, 3.986, 43
23.99, 3.709, 100
26.59, 3.352, 30
28.81, 3.098, 28
31.75, 2.819, 57
40.18, 2.244, 49
49.13, 1.854, 23

Entry 4:
# Cs2Tl3Cl5
Computed powder XRD pattern, Cu Kα. Input: a DFT-relaxed cell (GGA-PBE, Alexandria).

Structure:
```
Cs2Tl3Cl5
1.0
8.410 -2.347 0.000
8.410 2.347 0.000
-7.058 0.000 9.812
Cs Tl Cl
2 3 5
direct
0.170 0.170 0.267
0.830 0.830 0.733
0.000 0.000 0.500
0.387 0.387 0.129
0.613 0.613 0.871
0.202 0.202 0.804
0.406 0.406 0.586
0.500 0.500 0.000
0.594 0.594 0.414
0.798 0.798 0.196
```

The 8 most intense peaks (2θ from 10° to 90°), sorted by position:
two_theta, d_spacing, I/Imax
10.62, 8.331, 22
22.01, 4.038, 30
22.25, 3.996, 28
23.51, 3.784, 81
25.65, 3.473, 100
27.91, 3.196, 47
38.12, 2.361, 30
38.38, 2.345, 50

Entry 5:
# CsTlVCl4
Computed powder XRD pattern, Cu Kα. Input: a DFT-relaxed cell (GGA-PBE, Alexandria).

Structure:
```
CsTlVCl4
1.0
6.466 0.000 0.000
0.000 7.527 0.000
-2.342 0.000 9.533
Cs Tl V Cl
2 2 2 8
direct
0.219 0.250 0.428
0.781 0.750 0.572
0.358 0.750 0.028
0.642 0.250 0.972
0.068 0.250 0.812
0.932 0.750 0.188
0.205 0.250 0.061
0.229 0.750 0.385
0.248 0.501 0.761
0.248 0.999 0.761
0.752 0.001 0.239
0.752 0.499 0.239
0.771 0.250 0.615
0.795 0.750 0.939
```

The 8 most intense peaks (2θ from 10° to 90°), sorted by position:
two_theta, d_spacing, I/Imax
18.64, 4.760, 45
19.04, 4.660, 53
22.11, 4.020, 69
23.64, 3.763, 71
30.17, 2.962, 44
30.28, 2.952, 100
30.73, 2.910, 43
34.54, 2.597, 42

Entry 6:
# Cs3Tm2Cl9
Computed powder XRD pattern, Cu Kα. Input: a DFT-relaxed cell (GGA-PBE, Alexandria).

Structure:
```
Cs3Tm2Cl9
1.0
6.629 3.827 6.335
-6.629 3.827 6.335
0.000 -7.654 6.335
Cs Tm Cl
6 4 18
direct
0.090 0.750 0.410
0.250 0.590 0.910
0.410 0.090 0.750
0.590 0.910 0.250
0.750 0.410 0.090
0.910 0.250 0.590
0.152 0.152 0.152
0.348 0.348 0.348
0.652 0.652 0.652
0.848 0.848 0.848
0.076 0.914 0.736
0.086 0.264 0.924
0.100 0.400 0.250
0.236 0.414 0.576
0.250 0.100 0.400
0.264 0.924 0.086
0.400 0.250 0.100
0.414 0.576 0.236
0.424 0.764 0.586
0.576 0.236 0.414
0.586 0.424 0.764
0.600 0.750 0.900
0.736 0.076 0.914
0.750 0.900 0.600
0.764 0.586 0.424
0.900 0.600 0.750
0.914 0.736 0.076
0.924 0.086 0.264
```

The 8 most intense peaks (2θ from 10° to 90°), sorted by position:
two_theta, d_spacing, I/Imax
13.36, 6.629, 40
19.38, 4.580, 48
23.24, 3.827, 98
30.44, 2.937, 100
31.30, 2.858, 44
39.35, 2.290, 52
46.20, 1.965, 34
47.52, 1.913, 39